Diffraction record for Nd2DyTm5In. The powder XRD pattern is computed, not measured: it uses a structure optimized by DFT (PBE) and copper Kα.

Largest 10 diffraction maxima, in order of rising 2θ, 2θ = 10–90°:
- hkl 1 3 2, 2θ 27.4, I 12
- hkl 0 6 1, 2θ 27.7, I 14
- hkl 1 1 3, 2θ 31.2, I 29
- hkl 1 5 2, 2θ 32.7, I 100
- hkl 2 0 0, 2θ 33.8, I 31
- hkl 0 0 4, 2θ 34.6, I 16
- hkl 2 0 4, 2θ 49.1, I 12
- hkl 1 11 3, 2θ 59.3, I 10
- hkl 3 5 2, 2θ 59.8, I 18
- hkl 2 6 5, 2θ 63.1, I 8

Structure:
```
data_Nd2DyTm5In
_cell_length_a 5.3041
_cell_length_b 20.3248
_cell_length_c 10.3814
_cell_angle_alpha 90.00
_cell_angle_beta 90.00
_cell_angle_gamma 90.00
_space_group_name_H-M_alt 'C m c m'
_space_group_IT_number 63
_space_group_name_Hall '-C 2c 2'
loop_
_atom_site_label
_atom_site_fract_x
_atom_site_fract_y
_atom_site_fract_z
Nd1 0.0000 0.1167 0.0364
Dy1 0.0000 0.2103 0.7500
Tm1 0.0000 0.0088 0.7500
Tm2 0.0000 0.2877 0.0539
Tm3 0.0000 0.3838 0.7500
Tm4 0.0000 0.5000 0.0000
In1 0.0000 0.4037 0.2500
```

Diffraction record for Rb2GeO2. The powder XRD pattern is computed, not measured: it uses a structure optimized by DFT (PBE) and copper Kα.

Largest 10 diffraction maxima, in order of rising 2θ, 2θ = 10–90°:
- hkl 1 1 -1, 2θ 16.6, I 33
- hkl 1 2 0, 2θ 21.3, I 64
- hkl 2 0 0, 2θ 22.9, I 40
- hkl 1 1 -2, 2θ 26.5, I 52
- hkl 0 0 2, 2θ 26.8, I 61
- hkl 2 2 0, 2θ 29.2, I 100
- hkl 0 3 1, 2θ 30.2, I 80
- hkl 1 3 -1, 2θ 30.5, I 49
- hkl 1 2 -2, 2θ 30.9, I 40
- hkl 2 2 2, 2θ 45.8, I 43

Structure:
```
data_Rb2GeO2
_cell_length_a 8.3394
_cell_length_b 9.9176
_cell_length_c 7.1534
_cell_angle_alpha 90.00
_cell_angle_beta 111.66
_cell_angle_gamma 90.00
_space_group_name_H-M_alt 'P 1 21/c 1'
_space_group_IT_number 14
loop_
_space_group_symop_operation_xyz
'x,y,z'
'-x,-y,-z'
'-x,y+1/2,-z+1/2'
'x,-y+1/2,z+1/2'
loop_
_atom_site_label
_atom_site_fract_x
_atom_site_fract_y
_atom_site_fract_z
Rb1 0.0103 0.2505 0.0498
Rb2 0.4478 0.6725 0.0479
Ge1 0.3152 0.0156 0.9192
O1 0.2158 0.6360 0.2862
O2 0.4926 0.5490 0.6675
```

Diffraction record for LiCr4InS8. The powder XRD pattern is computed, not measured: it uses a structure optimized by DFT (PBE) and copper Kα.

Largest 10 diffraction maxima, in order of rising 2θ, 2θ = 10–90°:
- hkl 1 1 1, 2θ 15.0, I 37
- hkl 2 0 0, 2θ 17.4, I 31
- hkl 2 2 0, 2θ 24.6, I 33
- hkl 3 1 1, 2θ 29.0, I 100
- hkl 4 0 0, 2θ 35.1, I 44
- hkl 5 1 1, 2θ 46.2, I 58
- hkl 4 4 0, 2θ 50.5, I 79
- hkl 5 3 3, 2θ 59.3, I 13
- hkl 5 5 3, 2θ 70.8, I 18
- hkl 5 5 5, 2θ 81.6, I 14

Structure:
```
data_LiCr4InS8
_cell_length_a 10.2164
_cell_length_b 10.2164
_cell_length_c 10.2164
_cell_angle_alpha 90.00
_cell_angle_beta 90.00
_cell_angle_gamma 90.00
_space_group_name_H-M_alt 'F -4 3 m'
_space_group_IT_number 216
_space_group_name_Hall 'F -4 2 3'
loop_
_atom_site_label
_atom_site_fract_x
_atom_site_fract_y
_atom_site_fract_z
Li1 0.0000 0.0000 0.0000
Cr1 0.1295 0.1295 0.3705
In1 0.2500 0.2500 0.7500
S1 0.1097 0.1097 0.6097
S2 0.1378 0.1378 0.1378
```

Diffraction record for PrNp2O7. The powder XRD pattern is computed, not measured: it uses a structure optimized by DFT (PBE) and copper Kα.

Largest 10 diffraction maxima, in order of rising 2θ, 2θ = 10–90°:
- hkl 0 0 6, 2θ 17.0, I 28
- hkl 0 0 9, 2θ 25.6, I 53
- hkl 1 0 1, 2θ 26.9, I 40
- hkl 0 1 2, 2θ 27.3, I 100
- hkl 0 1 5, 2θ 30.4, I 49
- hkl 1 0 7, 2θ 33.5, I 65
- hkl 0 1 8, 2θ 35.4, I 21
- hkl 1 1 0, 2θ 47.2, I 56
- hkl 0 1 14, 2θ 49.1, I 40
- hkl 1 0 16, 2θ 54.4, I 66

Structure:
```
data_PrNp2O7
_cell_length_a 3.8527
_cell_length_b 3.8527
_cell_length_c 31.2704
_cell_angle_alpha 90.00
_cell_angle_beta 90.00
_cell_angle_gamma 120.00
_space_group_name_H-M_alt 'R -3 m'
_space_group_IT_number 166
_space_group_name_Hall '-R 3 2"'
loop_
_atom_site_label
_atom_site_fract_x
_atom_site_fract_y
_atom_site_fract_z
Pr1 0.0000 0.0000 0.0000
Np1 0.0000 0.0000 0.4341
O1 0.0000 0.0000 0.0806
O2 0.0000 0.0000 0.2194
O3 0.0000 0.0000 0.3652
O4 0.0000 0.0000 0.5000
```

Diffraction record for Li2Mg2TaO6. The powder XRD pattern is computed, not measured: it uses a structure optimized by DFT (PBE) and copper Kα.

Largest 10 diffraction maxima, in order of rising 2θ, 2θ = 10–90°:
- hkl 0 0 1, 2θ 18.3, I 100
- hkl 0 2 0, 2θ 19.5, I 33
- hkl 1 1 0, 2θ 20.3, I 72
- hkl 1 1 -1, 2θ 22.4, I 46
- hkl 0 2 1, 2θ 26.9, I 36
- hkl 1 1 1, 2θ 31.8, I 19
- hkl 1 3 0, 2θ 34.6, I 33
- hkl 1 1 -2, 2θ 35.9, I 27
- hkl 2 0 -2, 2θ 40.9, I 24
- hkl 1 3 1, 2θ 42.7, I 43

Structure:
```
data_Li2Mg2TaO6
_cell_length_a 5.3784
_cell_length_b 9.1056
_cell_length_c 5.2474
_cell_angle_alpha 90.00
_cell_angle_beta 112.40
_cell_angle_gamma 90.00
_space_group_name_H-M_alt 'C 1 2/m 1'
_space_group_IT_number 12
loop_
_space_group_symop_operation_xyz
'x,y,z'
'-x,-y,-z'
'-x,y,-z'
'x,-y,z'
'x+1/2,y+1/2,z'
'-x+1/2,-y+1/2,-z'
'-x+1/2,y+1/2,-z'
'x+1/2,-y+1/2,z'
loop_
_atom_site_label
_atom_site_fract_x
_atom_site_fract_y
_atom_site_fract_z
Li1 0.0000 0.1730 0.0000
Mg1 0.0000 0.3399 0.5000
Ta1 0.0000 0.0000 0.5000
O1 0.2305 0.0000 0.2806
O2 0.2315 0.1653 0.7224
```

Diffraction record for PrRe3N8. The powder XRD pattern is computed, not measured: it uses a structure optimized by DFT (PBE) and copper Kα.

Largest 10 diffraction maxima, in order of rising 2θ, 2θ = 10–90°:
- hkl 1 0 0, 2θ 17.9, I 16
- hkl 0 1 1, 2θ 22.4, I 100
- hkl 1 1 0, 2θ 31.3, I 90
- hkl 1 0 2, 2θ 32.6, I 78
- hkl 0 2 2, 2θ 45.8, I 37
- hkl 1 2 1, 2θ 50.7, I 23
- hkl 3 0 0, 2θ 55.7, I 23
- hkl 2 1 2, 2θ 56.5, I 35
- hkl 2 2 0, 2θ 65.3, I 34
- hkl 1 3 2, 2θ 74.9, I 15

Structure:
```
data_PrRe3N8
_cell_length_a 5.7159
_cell_length_b 5.7159
_cell_length_c 6.6023
_cell_angle_alpha 90.00
_cell_angle_beta 90.00
_cell_angle_gamma 120.00
_space_group_name_H-M_alt 'P -3 m 1'
_space_group_IT_number 164
_space_group_name_Hall '-P 3 2"'
loop_
_atom_site_label
_atom_site_fract_x
_atom_site_fract_y
_atom_site_fract_z
Pr1 0.0000 0.0000 0.0000
Re1 0.0000 0.0000 0.5000
Re2 0.3333 0.6667 0.7689
N1 0.1567 0.3134 0.6818
N2 0.3333 0.6667 0.0349
```

Diffraction record for SrSn3Br8. The powder XRD pattern is computed, not measured: it uses a structure optimized by DFT (PBE) and copper Kα.

Largest 10 diffraction maxima, in order of rising 2θ, 2θ = 10–90°:
- hkl 2 0 -1, 2θ 12.9, I 70
- hkl 2 0 1, 2θ 23.4, I 38
- hkl 2 2 -2, 2θ 28.8, I 100
- hkl 4 0 0, 2θ 29.1, I 49
- hkl 4 2 -3, 2θ 38.3, I 14
- hkl 2 2 2, 2θ 40.5, I 60
- hkl 4 0 -4, 2θ 41.9, I 17
- hkl 6 2 -2, 2θ 42.3, I 34
- hkl 4 4 0, 2θ 50.6, I 21
- hkl 4 4 -4, 2θ 59.7, I 12

Structure:
```
data_SrSn3Br8
_cell_length_a 14.6249
_cell_length_b 8.9191
_cell_length_c 8.6349
_cell_angle_alpha 90.00
_cell_angle_beta 122.83
_cell_angle_gamma 90.00
_space_group_name_H-M_alt 'C 1 2/m 1'
_space_group_IT_number 12
loop_
_space_group_symop_operation_xyz
'x,y,z'
'-x,-y,-z'
'-x,y,-z'
'x,-y,z'
'x+1/2,y+1/2,z'
'-x+1/2,-y+1/2,-z'
'-x+1/2,y+1/2,-z'
'x+1/2,-y+1/2,z'
loop_
_atom_site_label
_atom_site_fract_x
_atom_site_fract_y
_atom_site_fract_z
Sr1 0.0000 0.0000 0.0000
Sn1 0.0000 0.5000 0.0000
Sn2 0.2500 0.2500 0.5000
Br1 0.0047 0.2535 0.2448
Br2 0.2470 0.5000 0.2568
Br3 0.2487 0.0000 0.2621
```